(1)
The following is a calculated powder XRD pattern of ThMnBi. It was derived from a cell relaxed with PBE, using Cu Kα.
Neutral-atom scattering factors, no anomalous dispersion.

Top 10 peaks for 10° ≤ 2θ ≤ 90°, sorted by position:
hkl  d (Å)  2theta  Rel. int.
0 1 1  3.203  27.86  59
0 0 4  3.140  28.42  17
0 1 2  2.930  30.51  71
1 0 3  2.598  34.53  100
1 1 0  1.912  47.55  43
0 1 6  1.770  51.65  22
1 1 4  1.633  56.33  16
0 2 3  1.540  60.08  21
1 1 5  1.522  60.88  20
2 1 3  1.199  80.00  19

Crystal structure
a b c (Å): 3.8244 3.8244 12.5612
angles (deg): 90.00 90.00 120.00
Space group P-3m1 (No. 164)
Unique sites:
Th: 0.0000 0.0000 0.1662 x2
Mn: 0.3333 0.6667 0.9823 x2
Bi: 0.3333 0.6667 0.3839 x2


(2)
The following is a calculated powder XRD pattern of Th3MnBi. It was derived from a cell relaxed with PBE, using Cu Kα.
Neutral-atom scattering factors, no anomalous dispersion.

Top 10 peaks for 10° ≤ 2θ ≤ 90°, sorted by position:
hkl  d (Å)  2theta  Rel. int.
0 4 1  3.075  29.04  100
2 0 1  2.956  30.24  89
2 4 0  2.664  33.64  87
0 0 2  2.511  35.76  38
0 8 0  1.945  46.71  17
2 4 2  1.827  49.91  72
2 8 1  1.625  56.66  32
4 4 1  1.571  58.76  27
0 8 2  1.538  60.19  30
4 8 2  1.177  81.87  24

Crystal structure
a b c (Å): 7.3120 15.5580 5.0216
angles (deg): 90.00 90.00 90.00
Space group Cmmm (No. 65)
Unique sites:
Th: 0.0000 0.1241 0.0000 x4
Th: 0.2291 0.5000 0.5000 x4
Th: 0.2500 0.2500 0.5000 x4
Mn: 0.0000 0.1371 0.5000 x4
Bi: 0.0000 0.3673 0.0000 x4


(3)
The following is a calculated powder XRD pattern of Y2Mn2Bi. It was derived from a cell relaxed with PBE, using Cu Kα.
Neutral-atom scattering factors, no anomalous dispersion.

Top 10 peaks for 10° ≤ 2θ ≤ 90°, sorted by position:
hkl  d (Å)  2theta  Rel. int.
1 1 1  3.266  27.30  33
2 0 1  2.751  32.55  100
2 1 1  2.571  34.90  47
2 2 0  2.552  35.17  27
3 1 0  2.282  39.48  45
0 0 2  2.125  42.53  23
3 1 1  2.011  45.09  17
3 3 1  1.579  58.44  20
3 1 2  1.555  59.42  27
5 1 1  1.343  70.07  22

Crystal structure
a b c (Å): 7.2171 7.2171 4.2509
angles (deg): 90.00 90.00 90.00
Space group P4/mbm (No. 127)
Unique sites:
Y: 0.1801 0.3199 0.0000 x4
Mn: 0.1006 0.6006 0.5000 x4
Bi: 0.0000 0.0000 0.5000 x2


(4)
The following is a calculated powder XRD pattern of YMnBi2. It was derived from a cell relaxed with PBE, using Cu Kα.
Neutral-atom scattering factors, no anomalous dispersion.

Top 10 peaks for 10° ≤ 2θ ≤ 90°, sorted by position:
hkl  d (Å)  2theta  Rel. int.
0 0 4  3.972  22.38  17
1 1 2  3.762  23.65  100
2 1 1  2.664  33.65  12
2 0 4  2.404  37.41  54
1 1 6  2.249  40.09  26
2 2 0  2.136  42.31  14
0 0 8  1.984  45.73  8
3 1 2  1.858  49.04  19
3 1 6  1.549  59.70  11
2 2 8  1.454  64.05  8

Crystal structure
a b c (Å): 6.0420 6.0420 15.8715
angles (deg): 90.00 90.00 90.00
Space group I-42d (No. 122)
Unique sites:
Y: 0.0000 0.0000 0.0000 x4
Mn: 0.0000 0.0000 0.5000 x4
Bi: 0.1959 0.2500 0.6250 x8